GdGa: calculated powder XRD pattern (copper Kα), based on a GGA-PBE-relaxed structure.
Intensities are scaled so that the largest is 100.

Atomic structure:
```
data_GdGa
_chemical_formula_sum 'Gd4 Ga4'
_cell_length_a 4.3601
_cell_length_b 11.0817
_cell_length_c 4.1427
_cell_angle_alpha 90.00
_cell_angle_beta 90.00
_cell_angle_gamma 90.00
_space_group_name_H-M_alt 'P 1'
_space_group_IT_number 1
loop_
_space_group_symop_operation_xyz
'x,y,z'
loop_
_atom_site_label
_atom_site_type_symbol
_atom_site_fract_x
_atom_site_fract_y
_atom_site_fract_z
Gd1 Gd 0.0000 0.1406 0.2500
Gd2 Gd 0.0000 0.8594 0.7500
Gd3 Gd 0.5000 0.3594 0.7500
Gd4 Gd 0.5000 0.6406 0.2500
Ga1 Ga 0.0000 0.4270 0.2500
Ga2 Ga 0.0000 0.5730 0.7500
Ga3 Ga 0.5000 0.0730 0.7500
Ga4 Ga 0.5000 0.9270 0.2500
```

Top 10 peaks for 10° ≤ 2θ ≤ 80°, by intensity:
| 2θ/deg | d_spacing | I_rel |
| --- | --- | --- |
| 30.85 | 2.899 | 100 |
| 38.64 | 2.330 | 49 |
| 31.75 | 2.818 | 45 |
| 26.87 | 3.318 | 27 |
| 41.42 | 2.180 | 25 |
| 32.31 | 2.770 | 25 |
| 43.70 | 2.071 | 22 |
| 39.12 | 2.303 | 19 |
| 55.02 | 1.669 | 19 |
| 61.78 | 1.502 | 15 |